Starting from a DFT-relaxed cell (PBE, the Materials Project), the XRD peak list of GdSbO4 was computed for copper Kα.
Kinematic intensities with the Lorentz-polarization factor, no thermal factor.

Atomic structure:
```
data_GdSbO4
_cell_length_a 5.3871
_cell_length_b 7.4610
_cell_length_c 8.1490
_cell_angle_alpha 85.68
_cell_angle_beta 88.51
_cell_angle_gamma 83.64
_symmetry_space_group_name_H-M 'P -1'
_symmetry_Int_Tables_number 2
_symmetry_space_group_name_Hall '-P 1'
loop_
_atom_site_label
_atom_site_fract_x
_atom_site_fract_y
_atom_site_fract_z
_atom_site_occupancy
Gd1 0.2326 0.3669 0.3631 1
Gd2 0.2337 0.3307 0.8943 1
Sb1 0.2186 0.8704 0.7828 1
Sb2 0.2417 0.8304 0.3339 1
O1 0.0182 0.3458 0.6156 1
O2 0.0241 0.9060 0.1303 1
O3 0.0430 0.6453 0.8561 1
O4 0.0879 0.0814 0.3702 1
O5 0.3735 0.7798 0.5650 1
O6 0.4276 0.0831 0.7547 1
O7 0.4276 0.6073 0.2569 1
O8 0.4844 0.2635 0.1145 1
```

Top 10 peaks for 2θ = 5–70°, in order of rising 2θ:
d 4.062, 2θ 21.88, I = 13.3; d 3.456, 2θ 25.78, I = 11.7; d 3.264, 2θ 27.32, I = 45.8; d 3.210, 2θ 27.79, I = 100.0; d 2.898, 2θ 30.85, I = 38.8; d 2.839, 2θ 31.51, I = 19.4; d 2.677, 2θ 33.48, I = 26.5; d 2.640, 2θ 33.95, I = 15.1; d 1.945, 2θ 46.69, I = 14.3; d 1.860, 2θ 48.97, I = 15.0



Starting from a DFT-relaxed cell (PBE, the Materials Project), the XRD peak list of Cs2TaAgF6 was computed for copper Kα.
Kinematic intensities with the Lorentz-polarization factor, no thermal factor.

Atomic structure:
```
data_Cs2TaAgF6
_cell_length_a 10.5167
_cell_length_b 10.5167
_cell_length_c 10.5167
_cell_angle_alpha 90.00
_cell_angle_beta 90.00
_cell_angle_gamma 90.00
_symmetry_space_group_name_H-M 'F m -3 m'
_symmetry_Int_Tables_number 225
_symmetry_space_group_name_Hall '-F 4 2 3'
loop_
_atom_site_label
_atom_site_fract_x
_atom_site_fract_y
_atom_site_fract_z
_atom_site_occupancy
Cs1 0.2500 0.2500 0.2500 1
Ta1 0.0000 0.0000 0.0000 1
Ag1 0.0000 0.0000 0.5000 1
F1 0.0000 0.0000 0.1832 1
```

Top 10 peaks for 2θ = 5–70°, in order of rising 2θ:
d 6.072, 2θ 14.59, I = 9.8; d 5.258, 2θ 16.86, I = 2.9; d 3.718, 2θ 23.93, I = 100.0; d 2.629, 2θ 34.10, I = 27.3; d 2.147, 2θ 42.09, I = 37.9; d 2.024, 2θ 44.78, I = 2.3; d 1.859, 2θ 49.00, I = 16.6; d 1.663, 2θ 55.24, I = 24.0; d 1.518, 2θ 61.04, I = 5.0; d 1.405, 2θ 66.54, I = 24.0



Starting from a DFT-relaxed cell (PBE, the Materials Project), the XRD peak list of HfNbC2 was computed for copper Kα.
Kinematic intensities with the Lorentz-polarization factor, no thermal factor.

Atomic structure:
```
data_HfNbC2
_cell_length_a 3.2284
_cell_length_b 3.2284
_cell_length_c 15.8897
_cell_angle_alpha 90.00
_cell_angle_beta 90.00
_cell_angle_gamma 120.00
_symmetry_space_group_name_H-M 'R -3 m'
_symmetry_Int_Tables_number 166
_symmetry_space_group_name_Hall '-R 3 2"'
loop_
_atom_site_label
_atom_site_fract_x
_atom_site_fract_y
_atom_site_fract_z
_atom_site_occupancy
Hf1 0.0000 0.0000 0.0000 1
Nb1 0.0000 0.0000 0.5000 1
C1 0.0000 0.0000 0.2481 1
```

Top 10 peaks for 2θ = 5–70°, in order of rising 2θ:
d 5.297, 2θ 16.74, I = 17.4; d 2.754, 2θ 32.52, I = 11.5; d 2.648, 2θ 33.85, I = 33.7; d 2.637, 2θ 33.99, I = 100.0; d 2.286, 2θ 39.41, I = 90.7; d 2.099, 2θ 43.09, I = 5.7; d 1.619, 2θ 56.86, I = 30.3; d 1.614, 2θ 57.06, I = 30.0; d 1.381, 2θ 67.84, I = 14.0; d 1.378, 2θ 68.05, I = 41.7